Starting from DFT lattice parameters and positions (GGA-PBE), the powder X-ray diffraction pattern of ThBi3 was calculated for a wavelength of 1.5418 Å.
Neutral-atom scattering factors, no anomalous dispersion.

Largest 9 diffraction maxima, sorted by position, 2θ from 5° to 70°:
Position (°2θ)	d [Å]	intensity	h k l
31.3	2.859	100	1 1 2
32.0	2.801	24	0 0 4
38.3	2.351	29	2 0 0
50.7	1.801	27	2 0 4
55.3	1.662	10	2 2 0
56.5	1.628	20	1 1 6
64.9	1.437	26	3 1 2
65.3	1.429	13	2 2 4
66.8	1.400	3	0 0 8

```
data_ThBi3
_cell_length_a 4.7017
_cell_length_b 4.7017
_cell_length_c 11.2030
_cell_angle_alpha 90.00
_cell_angle_beta 90.00
_cell_angle_gamma 90.00
_space_group_name_H-M_alt 'I 4/m m m'
_space_group_IT_number 139
_space_group_name_Hall '-I 4 2'
loop_
_atom_site_label
_atom_site_type_symbol
_atom_site_fract_x
_atom_site_fract_y
_atom_site_fract_z
Th1 Th 0.0000 0.0000 0.0000
Bi1 Bi 0.0000 0.0000 0.5000
Bi2 Bi 0.0000 0.5000 0.2500
```